This entry pairs a crystal structure of La4Ni3Pd with its computed powder XRD pattern. Radiation: Cu Kα (λ = 1.5418 Å). Structure: a DFT-relaxed cell (GGA-PBE, Alexandria).

Structure:
```
data_La4Ni3Pd
_chemical_formula_sum 'La4 Ni3 Pd1'
_cell_length_a 3.904
_cell_length_b 4.490
_cell_length_c 10.856
_cell_angle_alpha 90.00
_cell_angle_beta 90.00
_cell_angle_gamma 90.00
_space_group_name_H-M_alt 'P m m 2'
_space_group_IT_number 25
loop_
_space_group_symop_operation_xyz
'x,y,z'
'-x,-y,z'
'-x,y,z'
'x,-y,z'
loop_
_atom_site_label
_atom_site_fract_x
_atom_site_fract_y
_atom_site_fract_z
_atom_site_occupancy
La1 0.000 0.000 0.000 1
La2 0.000 0.500 0.262 1
La3 0.500 0.000 0.483 1
La4 0.500 0.500 0.761 1
Ni1 0.000 0.500 0.541 1
Ni2 0.500 0.000 0.202 1
Ni3 0.500 0.500 0.054 1
Pd1 0.000 0.000 0.706 1
```

Peak list (10 most intense, 2θ = 10–80°, low angle first)
index	2θ (°)	I_rel
0 1 2	25.75	22
1 1 1	31.47	100
0 0 4	33.01	30
1 0 3	33.78	31
0 1 4	38.77	16
1 1 3	39.44	64
0 2 0	40.17	30
2 0 0	46.53	20
1 2 3	53.46	16
2 2 0	63.12	15

This entry pairs a crystal structure of LiTbCdAu with its computed powder XRD pattern. Radiation: Cu Kα (λ = 1.5418 Å). Structure: a DFT-relaxed cell (GGA-PBE, Alexandria).

Structure:
```
data_LiTbCdAu
_chemical_formula_sum 'Li4 Tb4 Cd4 Au4'
_cell_length_a 6.913
_cell_length_b 6.913
_cell_length_c 6.913
_cell_angle_alpha 90.00
_cell_angle_beta 90.00
_cell_angle_gamma 90.00
_space_group_name_H-M_alt 'F -4 3 m'
_space_group_IT_number 216
_space_group_name_Hall 'F -4 2 3'
loop_
_atom_site_label
_atom_site_fract_x
_atom_site_fract_y
_atom_site_fract_z
_atom_site_occupancy
Li1 0.000 0.000 0.000 1
Tb1 0.250 0.250 0.250 1
Cd1 0.250 0.250 0.750 1
Au1 0.000 0.000 0.500 1
```

Peak list (10 most intense, 2θ = 10–80°, low angle first)
index	2θ (°)	I_rel
1 1 1	22.27	40
2 0 0	25.77	3
2 2 0	36.77	100
3 1 1	43.41	22
4 0 0	52.98	17
3 3 1	58.17	9
4 2 0	59.83	1
4 2 2	66.23	36
5 1 1	70.82	7
4 4 0	78.22	11

This entry pairs a crystal structure of RbNa2TlCu with its computed powder XRD pattern. Radiation: Cu Kα (λ = 1.5418 Å). Structure: a DFT-relaxed cell (GGA-PBE, Alexandria).

Structure:
```
data_RbNa2TlCu
_chemical_formula_sum 'Rb1 Na2 Tl1 Cu1'
_cell_length_a 5.817
_cell_length_b 5.817
_cell_length_c 5.124
_cell_angle_alpha 90.00
_cell_angle_beta 90.00
_cell_angle_gamma 90.00
_space_group_name_H-M_alt 'P 4/m m m'
_space_group_IT_number 123
_space_group_name_Hall '-P 4 2'
loop_
_atom_site_label
_atom_site_fract_x
_atom_site_fract_y
_atom_site_fract_z
_atom_site_occupancy
Rb1 0.000 0.000 0.000 1
Na1 0.000 0.500 0.500 1
Tl1 0.500 0.500 0.000 1
Cu1 0.500 0.500 0.500 1
```

Peak list (10 most intense, 2θ = 10–80°, low angle first)
index	2θ (°)	I_rel
1 0 0	15.23	77
0 0 1	17.31	24
1 1 0	21.60	100
1 1 1	27.81	81
2 0 0	30.74	73
0 0 2	35.03	26
1 1 2	41.53	37
2 2 0	44.03	27
2 0 2	47.28	44
3 1 1	52.88	28